Computed powder diffraction line list
Compound: Li4Np2O9
Radiation: Cu Kα X-rays
Structure: DFT lattice parameters and positions (GGA-PBE)

Cell and atoms:
Lattice parameters (Å, degrees): 9.165 5.294 14.767 90.00 90.03 90.00
Space group C2/c (No. 15)
Asymmetric unit:
1 Li 0.167 0.000 0.192 [8 per cell]
2 Li 0.167 0.000 0.490 [8 per cell]
3 Np 0.000 0.500 0.145 [8 per cell]
4 O 0.000 0.212 0.250 [4 per cell]
5 O 0.011 0.175 0.585 [8 per cell]
6 O 0.145 0.355 0.750 [8 per cell]
7 O 0.157 0.320 0.085 [8 per cell]
8 O 0.168 0.355 0.415 [8 per cell]

Largest 10 diffraction maxima, by intensity, 2θ from 10° to 80°:
| index | 2theta | d/Å | I/Imax |
| --- | --- | --- | --- |
| 2 0 0 | 19.36 | 4.584 | 100 |
| 1 1 4 | 31.11 | 2.875 | 48 |
| 3 1 4 | 42.01 | 2.151 | 20 |
| 3 1 0 | 33.87 | 2.647 | 20 |
| 4 2 4 | 58.88 | 1.568 | 17 |
| 4 0 4 | 46.65 | 1.947 | 17 |
| 4 0 0 | 39.31 | 2.292 | 15 |
| 0 0 4 | 24.11 | 3.692 | 15 |
| 5 1 0 | 52.84 | 1.733 | 14 |
| 1 1 6 | 41.65 | 2.168 | 12 |

=====

Computed powder diffraction line list
Compound: Tb5CdRh6
Radiation: Cu Kα X-rays
Structure: DFT lattice parameters and positions (GGA-PBE)

Cell and atoms:
Lattice parameters (Å, degrees): 4.786 14.378 6.852 90.00 90.00 90.00
Space group Cmmm (No. 65)
Asymmetric unit:
1 Tb 0.000 0.000 0.000 [2 per cell]
2 Tb 0.000 0.334 0.000 [4 per cell]
3 Tb 0.000 0.342 0.500 [4 per cell]
4 Cd 0.000 0.000 0.500 [2 per cell]
5 Rh 0.000 0.168 0.251 [8 per cell]
6 Rh 0.000 0.500 0.242 [4 per cell]

Largest 10 diffraction maxima, by intensity, 2θ from 10° to 80°:
| index | 2theta | d/Å | I/Imax |
| --- | --- | --- | --- |
| 1 3 2 | 37.34 | 2.409 | 100 |
| 2 0 0 | 37.56 | 2.395 | 49 |
| 3 3 2 | 67.63 | 1.385 | 34 |
| 2 6 0 | 54.16 | 1.693 | 17 |
| 2 6 4 | 79.61 | 1.204 | 11 |
| 0 0 4 | 53.49 | 1.713 | 9 |
| 2 0 4 | 67.21 | 1.393 | 9 |
| 0 6 4 | 67.17 | 1.394 | 9 |
| 1 3 0 | 26.32 | 3.387 | 4 |
| 0 0 2 | 26.01 | 3.426 | 2 |

=====

Computed powder diffraction line list
Compound: Pr4TcHg
Radiation: Cu Kα X-rays
Structure: DFT lattice parameters and positions (GGA-PBE)

Cell and atoms:
Lattice parameters (Å, degrees): 8.913 13.209 6.498 90.00 106.97 90.00
Space group C2/c (No. 15)
Asymmetric unit:
1 Pr 0.107 0.169 0.043 [8 per cell]
2 Pr 0.213 0.420 0.401 [8 per cell]
3 Tc 0.000 0.001 0.750 [4 per cell]
4 Hg 0.000 0.376 0.750 [4 per cell]

Largest 10 diffraction maxima, by intensity, 2θ from 10° to 80°:
| index | 2theta | d/Å | I/Imax |
| --- | --- | --- | --- |
| 2 2 1 | 31.76 | 2.818 | 100 |
| 3 1 -1 | 31.29 | 2.858 | 62 |
| 1 3 -2 | 34.37 | 2.609 | 45 |
| 1 1 -2 | 28.37 | 3.146 | 44 |
| 1 3 1 | 28.54 | 3.127 | 34 |
| 1 5 0 | 35.58 | 2.523 | 30 |
| 3 3 -1 | 36.87 | 2.438 | 25 |
| 1 5 -1 | 37.28 | 2.412 | 20 |
| 0 4 0 | 27.00 | 3.302 | 20 |
| 2 2 -2 | 33.22 | 2.697 | 19 |